Computed X-ray diffraction stick pattern of Nd2Dy2YTm for Cu Kα (weighted mean of Kα1 and Kα2), from DFT lattice parameters and positions (GGA-PBE).
Peak positions follow from Bragg's law for the DFT cell and can differ from measured ones.

Atomic structure:
```
Nd2Dy2YTm
1.0
6.5620 0.0000 0.0000
0.0000 6.8074 0.0000
-0.7746 0.0000 8.8715
Nd Dy Y Tm
4 4 2 2
Cartesian
0.5688 1.7018 0.1705
0.6505 1.7018 5.7611
5.1370 5.1055 3.1104
5.2187 5.1055 8.7010
1.9299 3.4080 2.9265
1.9299 6.8031 2.9265
3.8576 0.0043 5.9450
3.8576 3.3994 5.9450
0.6684 5.1055 5.7961
5.1191 1.7018 3.0754
2.7793 5.1055 0.0140
3.0082 1.7018 8.8574
```

Top 12 peaks for 2θ = 10–90°, in order of rising 2θ:
two_theta, Rel. int.
28.08, 36
29.94, 70
30.22, 100
30.33, 27
30.90, 85
32.59, 61
33.18, 36
35.26, 31
36.67, 60
49.68, 25
50.04, 26
62.86, 28

---

Computed X-ray diffraction stick pattern of Ti6Pb2C for Cu Kα (weighted mean of Kα1 and Kα2), from DFT lattice parameters and positions (GGA-PBE).
Peak positions follow from Bragg's law for the DFT cell and can differ from measured ones.

Atomic structure:
```
Ti6Pb2C
1.0
-3.0055 3.0055 4.2214
3.0055 -3.0055 4.2214
3.0055 3.0055 -4.2214
Ti Pb C
6 2 1
Cartesian
0.0000 0.0000 2.0577
1.4756 1.4756 0.0000
1.5298 -1.5298 4.2214
-1.5298 1.5298 4.2214
1.5298 1.5298 4.2214
0.0000 0.0000 6.3851
3.0055 0.0000 2.1107
0.0000 3.0055 2.1107
0.0000 0.0000 4.2214
```

Top 12 peaks for 2θ = 10–90°, in order of rising 2θ:
two_theta, Rel. int.
20.90, 38
21.05, 19
29.73, 20
29.83, 39
36.71, 100
42.54, 35
42.85, 17
47.89, 20
52.82, 17
61.96, 22
74.02, 25
74.45, 12

---

Computed X-ray diffraction stick pattern of Mn22SiC6 for Cu Kα (weighted mean of Kα1 and Kα2), from DFT lattice parameters and positions (GGA-PBE).
Peak positions follow from Bragg's law for the DFT cell and can differ from measured ones.

Atomic structure:
```
Mn22SiC6
1.0
0.0000 5.2008 5.2008
5.2008 0.0000 5.2008
5.2008 5.2008 0.0000
Mn Si C
22 1 6
Cartesian
1.7610 1.7610 0.0000
3.4398 3.4398 0.0000
1.7610 0.0000 1.7610
5.2008 3.4398 1.7610
3.4398 0.0000 3.4398
5.2008 1.7610 3.4398
6.4262 3.9753 3.9753
2.6004 2.6004 2.6004
0.0000 1.7610 1.7610
3.4398 5.2008 1.7610
3.4398 1.7610 5.2008
3.9753 3.9753 3.9753
6.4262 6.4262 3.9753
6.4262 3.9753 6.4262
3.9753 6.4262 3.9753
3.9753 3.9753 6.4262
6.4262 6.4262 6.4262
0.0000 3.4398 3.4398
1.7610 5.2008 3.4398
1.7610 3.4398 5.2008
7.8011 7.8011 7.8011
3.9753 6.4262 6.4262
0.0000 0.0000 0.0000
5.2008 5.2008 2.9093
5.2008 2.9093 5.2008
7.4923 5.2008 5.2008
2.9093 5.2008 5.2008
5.2008 7.4923 5.2008
5.2008 5.2008 7.4923
```

Top 12 peaks for 2θ = 10–90°, in order of rising 2θ:
two_theta, Rel. int.
34.49, 7
38.71, 31
42.58, 25
45.30, 100
49.58, 21
52.01, 35
52.81, 12
58.90, 10
75.35, 8
77.94, 21
79.86, 12
84.94, 9

---

Computed X-ray diffraction stick pattern of Sr2Hg3Au6 for Cu Kα (weighted mean of Kα1 and Kα2), from DFT lattice parameters and positions (GGA-PBE).
Peak positions follow from Bragg's law for the DFT cell and can differ from measured ones.

Atomic structure:
```
Sr2Hg3Au6
1.0
4.9816 -6.3538 0.0000
4.9816 6.3538 0.0000
0.0000 0.0000 4.5001
Sr Hg Au
2 3 6
Cartesian
4.9816 4.1566 0.0000
4.9816 -4.1566 0.0000
3.0194 0.0000 0.0000
4.9816 0.0000 2.2500
6.9439 0.0000 0.0000
1.3311 0.0000 2.2500
3.4734 2.2933 2.2500
6.4899 2.2933 2.2500
3.4734 -2.2933 2.2500
6.4899 -2.2933 2.2500
8.6322 0.0000 2.2500
```

Top 12 peaks for 2θ = 10–90°, in order of rising 2θ:
two_theta, Rel. int.
13.94, 23
19.73, 47
28.09, 20
30.24, 56
30.34, 68
34.30, 73
39.89, 100
40.07, 47
41.43, 26
42.69, 38
53.76, 25
59.99, 26

---

Computed X-ray diffraction stick pattern of Tb4GeTe2 for Cu Kα (weighted mean of Kα1 and Kα2), from DFT lattice parameters and positions (GGA-PBE).
Peak positions follow from Bragg's law for the DFT cell and can differ from measured ones.

Atomic structure:
```
Tb4GeTe2
1.0
7.9226 -2.0956 0.0000
7.9226 2.0956 0.0000
-3.1049 0.0000 6.3290
Tb Ge Te
4 1 2
Cartesian
0.8818 0.0000 1.6713
5.4979 0.0000 1.3907
7.2424 0.0000 4.9383
11.8585 0.0000 4.6577
-1.5525 0.0000 3.1645
1.6718 0.0000 4.7153
11.0686 0.0000 1.6137
```

Top 12 peaks for 2θ = 10–90°, in order of rising 2θ:
two_theta, Rel. int.
27.78, 100
28.20, 43
35.44, 68
35.96, 25
37.95, 9
43.17, 21
44.19, 38
45.87, 8
51.38, 9
52.37, 18
57.40, 13
69.90, 13

---

Computed X-ray diffraction stick pattern of Tb2Pr5DyTm for Cu Kα (weighted mean of Kα1 and Kα2), from DFT lattice parameters and positions (GGA-PBE).
Peak positions follow from Bragg's law for the DFT cell and can differ from measured ones.

Atomic structure:
```
Tb2Pr5DyTm
1.0
2.8377 -10.2960 0.0000
2.8377 10.2960 0.0000
0.0000 0.0000 10.7296
Tb Pr Dy Tm
4 10 2 2
Cartesian
2.8377 7.9625 5.3648
2.8377 7.9334 0.7255
2.8377 -7.9334 6.0903
2.8377 -7.9625 0.0000
2.8377 9.9829 8.3252
2.8377 4.5568 0.8064
2.8377 4.2060 5.0199
2.8377 2.4409 8.3796
2.8377 0.3140 5.4332
2.8377 -0.3140 0.0683
2.8377 -2.4409 3.0147
2.8377 -4.2060 10.3848
2.8377 -4.5568 6.1712
2.8377 -9.9829 2.9604
2.8377 1.9346 2.4329
2.8377 -1.9346 7.7977
2.8377 6.2224 8.2802
2.8377 -6.2224 2.9153
```

Top 12 peaks for 2θ = 10–90°, in order of rising 2θ:
two_theta, Rel. int.
26.31, 8
27.28, 10
29.85, 23
31.58, 100
33.40, 10
42.17, 6
46.59, 8
50.14, 7
55.10, 9
56.19, 15
57.93, 7
60.44, 8

---

What did the first record say?
Computed X-ray diffraction stick pattern of Nd2Dy2YTm for Cu Kα (weighted mean of Kα1 and Kα2), from DFT lattice parameters and positions (GGA-PBE).
Peak positions follow from Bragg's law for the DFT cell and can differ from measured ones.

Atomic structure:
```
Nd2Dy2YTm
1.0
6.5620 0.0000 0.0000
0.0000 6.8074 0.0000
-0.7746 0.0000 8.8715
Nd Dy Y Tm
4 4 2 2
Cartesian
0.5688 1.7018 0.1705
0.6505 1.7018 5.7611
5.1370 5.1055 3.1104
5.2187 5.1055 8.7010
1.9299 3.4080 2.9265
1.9299 6.8031 2.9265
3.8576 0.0043 5.9450
3.8576 3.3994 5.9450
0.6684 5.1055 5.7961
5.1191 1.7018 3.0754
2.7793 5.1055 0.0140
3.0082 1.7018 8.8574
```

Top 12 peaks for 2θ = 10–90°, in order of rising 2θ:
two_theta, Rel. int.
28.08, 36
29.94, 70
30.22, 100
30.33, 27
30.90, 85
32.59, 61
33.18, 36
35.26, 31
36.67, 60
49.68, 25
50.04, 26
62.86, 28